# 1
Starting from a crystal structure in Alexandria, relaxed with GGA-PBE, the PXRD pattern of K4HoTm3Se8 was computed for copper Kα.
Neutral-atom scattering factors, no anomalous dispersion.

Cell and atoms:
Unit cell a=8.3416 b=8.3416 c=23.0258 alpha=90.00 beta=90.00 gamma=120.00
Space group R-3m (No. 166, hexagonal axes)
Inequivalent atoms, fractional coordinates:
K (0.0000, 0.0000, 0.0000) x3
K (0.0000, 0.5000, 0.0000) x9
Ho (0.0000, 0.0000, 0.5000) x3
Tm (0.0000, 0.5000, 0.5000) x9
Se (0.0000, 0.0000, 0.2341) x6
Se (0.0018, 0.5009, 0.7656) x18

Largest 6 diffraction maxima, low angle first, 5 to 70 degrees two-theta:
hkl 0 0 3, 11.53 deg, intensity 65
hkl 0 2 4, 29.19 deg, intensity 100
hkl 0 2 7, 36.96 deg, intensity 22
hkl 2 0 8, 40.06 deg, intensity 34
hkl 2 2 0, 43.39 deg, intensity 36
hkl 4 0 4, 53.15 deg, intensity 18

# 2
Starting from a crystal structure in Alexandria, relaxed with GGA-PBE, the PXRD pattern of K2HoU2Se6 was computed for copper Kα.
Neutral-atom scattering factors, no anomalous dispersion.

Cell and atoms:
Unit cell a=7.219 b=12.502 c=8.220 alpha=90.00 beta=106.85 gamma=90.00
Space group C2/m (No. 12)
Inequivalent atoms, fractional coordinates:
K (0.000, 0.166, 0.000) x4
Ho (0.000, 0.000, 0.500) x2
U (0.000, 0.334, 0.500) x4
Se (0.233, 0.167, 0.701) x8
Se (0.235, 0.500, 0.701) x4

Largest 6 diffraction maxima, low angle first, 5 to 70 degrees two-theta:
hkl 0 0 1, 11.25 deg, intensity 100
hkl 2 0 -1, 24.96 deg, intensity 25
hkl 2 0 -2, 29.00 deg, intensity 98
hkl 1 3 2, 36.47 deg, intensity 30
hkl 1 3 -3, 39.48 deg, intensity 23
hkl 0 6 0, 43.43 deg, intensity 35

# 3
Starting from a crystal structure in Alexandria, relaxed with GGA-PBE, the PXRD pattern of K4HoU3Se8 was computed for copper Kα.
Neutral-atom scattering factors, no anomalous dispersion.

Cell and atoms:
Unit cell a=8.4196 b=8.4196 c=23.2256 alpha=90.00 beta=90.00 gamma=120.00
Space group R-3m (No. 166, hexagonal axes)
Inequivalent atoms, fractional coordinates:
K (0.0000, 0.0000, 0.0000) x3
K (0.0000, 0.5000, 0.0000) x9
Ho (0.0000, 0.0000, 0.5000) x3
U (0.0000, 0.5000, 0.5000) x9
Se (0.0000, 0.0000, 0.2364) x6
Se (0.0033, 0.5017, 0.2359) x18

Largest 6 diffraction maxima, low angle first, 5 to 70 degrees two-theta:
hkl 0 0 3, 11.43 deg, intensity 75
hkl 0 2 1, 24.72 deg, intensity 21
hkl 0 2 4, 28.92 deg, intensity 100
hkl 0 2 7, 36.62 deg, intensity 23
hkl 2 0 8, 39.69 deg, intensity 37
hkl 2 2 0, 42.97 deg, intensity 35

# 4
Starting from a crystal structure in Alexandria, relaxed with GGA-PBE, the PXRD pattern of K2SmHoTe4 was computed for copper Kα.
Neutral-atom scattering factors, no anomalous dispersion.

Cell and atoms:
Unit cell a=7.841 b=4.527 c=8.650 alpha=90.00 beta=107.56 gamma=90.00
Space group P2/m (No. 10)
Inequivalent atoms, fractional coordinates:
K (0.000, 0.000, 0.000) x1
K (0.500, 0.500, 0.000) x1
Sm (0.000, 0.500, 0.500) x1
Ho (0.500, 0.000, 0.500) x1
Te (0.242, 0.000, 0.711) x2
Te (0.269, 0.500, 0.291) x2

Largest 6 diffraction maxima, low angle first, 5 to 70 degrees two-theta:
hkl 0 0 1, 10.73 deg, intensity 44
hkl 1 1 1, 26.93 deg, intensity 100
hkl 1 1 2, 34.16 deg, intensity 18
hkl 1 1 -3, 37.02 deg, intensity 35
hkl 0 2 0, 39.83 deg, intensity 37
hkl 2 2 -2, 48.73 deg, intensity 19

# 5
Starting from a crystal structure in Alexandria, relaxed with GGA-PBE, the PXRD pattern of La8Ho3 was computed for copper Kα.
Neutral-atom scattering factors, no anomalous dispersion.

Cell and atoms:
Unit cell a=11.661 b=5.184 c=13.264 alpha=90.00 beta=104.89 gamma=90.00
Space group C2/m (No. 12)
Inequivalent atoms, fractional coordinates:
La (0.047, 0.000, 0.318) x4
La (0.137, 0.000, 0.954) x4
La (0.180, 0.500, 0.773) x4
La (0.227, 0.000, 0.589) x4
Ho (0.000, 0.500, 0.500) x2
Ho (0.092, 0.500, 0.134) x4

Largest 6 diffraction maxima, low angle first, 5 to 70 degrees two-theta:
hkl 1 1 3, 29.74 deg, intensity 100
hkl 4 0 1, 34.30 deg, intensity 17
hkl 0 2 0, 34.56 deg, intensity 34
hkl 4 2 1, 49.53 deg, intensity 18
hkl 2 2 -5, 49.68 deg, intensity 12
hkl 1 3 3, 59.02 deg, intensity 21

# 6
Starting from a crystal structure in Alexandria, relaxed with GGA-PBE, the PXRD pattern of La6Ho5 was computed for copper Kα.
Neutral-atom scattering factors, no anomalous dispersion.

Cell and atoms:
Unit cell a=10.081 b=16.164 c=5.689 alpha=90.00 beta=124.23 gamma=90.00
Space group C2/m (No. 12)
Inequivalent atoms, fractional coordinates:
La (0.207, 0.000, 0.210) x4
La (0.209, 0.140, 0.709) x8
Ho (0.000, 0.201, 0.000) x4
Ho (0.000, 0.339, 0.500) x4
Ho (0.000, 0.500, 0.000) x2

Largest 6 diffraction maxima, low angle first, 5 to 70 degrees two-theta:
hkl 2 4 -1, 29.15 deg, intensity 28
hkl 1 3 1, 31.36 deg, intensity 100
hkl 2 0 -2, 31.45 deg, intensity 34
hkl 1 5 -1, 31.84 deg, intensity 13
hkl 0 6 0, 33.26 deg, intensity 14
hkl 1 3 -3, 55.93 deg, intensity 20

# 7
Starting from a crystal structure in Alexandria, relaxed with GGA-PBE, the PXRD pattern of La7Ho5 was computed for copper Kα.
Neutral-atom scattering factors, no anomalous dispersion.

Cell and atoms:
Unit cell a=19.058 b=3.681 c=13.395 alpha=90.00 beta=118.19 gamma=90.00
Space group C2/m (No. 12)
Inequivalent atoms, fractional coordinates:
La (0.000, 0.000, 0.000) x2
La (0.027, 0.500, 0.250) x4
La (0.140, 0.000, 0.752) x4
La (0.168, 0.000, 0.505) x4
Ho (0.000, 0.500, 0.500) x2
Ho (0.170, 0.500, 0.006) x4
Ho (0.192, 0.000, 0.247) x4

Largest 6 diffraction maxima, low angle first, 5 to 70 degrees two-theta:
hkl 3 1 -2, 29.06 deg, intensity 49
hkl 0 0 4, 30.28 deg, intensity 40
hkl 6 0 0, 31.94 deg, intensity 100
hkl 6 0 -4, 32.03 deg, intensity 20
hkl 9 1 -3, 49.67 deg, intensity 20
hkl 6 0 4, 54.84 deg, intensity 21

# 8
Starting from a crystal structure in Alexandria, relaxed with GGA-PBE, the PXRD pattern of La3Ho13 was computed for copper Kα.
Neutral-atom scattering factors, no anomalous dispersion.

Cell and atoms:
Unit cell a=7.282 b=11.378 c=12.576 alpha=90.00 beta=90.00 gamma=90.00
Space group Amm2 (No. 38)
Inequivalent atoms, fractional coordinates:
La (0.000, 0.000, 0.000) x2
La (0.254, 0.000, 0.746) x4
Ho (0.000, 0.000, 0.495) x2
Ho (0.000, 0.248, 0.166) x4
Ho (0.250, 0.000, 0.251) x4
Ho (0.251, 0.246, 0.416) x8
Ho (0.500, 0.000, 0.001) x2
Ho (0.500, 0.000, 0.495) x2
Ho (0.500, 0.244, 0.166) x4

Largest 6 diffraction maxima, low angle first, 5 to 70 degrees two-theta:
hkl 0 0 4, 28.35 deg, intensity 24
hkl 0 4 0, 31.45 deg, intensity 24
hkl 2 2 2, 32.50 deg, intensity 100
hkl 0 4 4, 42.84 deg, intensity 16
hkl 2 6 2, 56.66 deg, intensity 20
hkl 2 4 6, 60.47 deg, intensity 15

# 9
Starting from a crystal structure in Alexandria, relaxed with GGA-PBE, the PXRD pattern of La3Ho13 was computed for copper Kα.
Neutral-atom scattering factors, no anomalous dispersion.

Cell and atoms:
Unit cell a=10.098 b=10.053 c=10.112 alpha=90.00 beta=90.00 gamma=90.00
Space group Amm2 (No. 38)
Inequivalent atoms, fractional coordinates:
La (0.000, 0.000, 0.000) x2
La (0.250, 0.000, 0.254) x4
Ho (0.000, 0.000, 0.506) x2
Ho (0.000, 0.248, 0.753) x4
Ho (0.252, 0.249, 0.503) x8
Ho (0.253, 0.000, 0.751) x4
Ho (0.500, 0.000, 0.001) x2
Ho (0.500, 0.000, 0.507) x2
Ho (0.500, 0.247, 0.754) x4

Largest 6 diffraction maxima, low angle first, 5 to 70 degrees two-theta:
hkl 2 2 2, 30.70 deg, intensity 100
hkl 4 0 0, 35.54 deg, intensity 34
hkl 0 4 0, 35.73 deg, intensity 17
hkl 4 4 0, 51.28 deg, intensity 24
hkl 6 2 2, 60.84 deg, intensity 29
hkl 2 6 2, 61.09 deg, intensity 14

# 10
Starting from a crystal structure in Alexandria, relaxed with GGA-PBE, the PXRD pattern of LiLa4Ho4O12 was computed for copper Kα.
Neutral-atom scattering factors, no anomalous dispersion.

Cell and atoms:
Unit cell a=5.866 b=6.262 c=8.549 alpha=89.06 beta=88.95 gamma=88.34
Space group P1 (No. 1)
Inequivalent atoms, fractional coordinates:
Li (0.000, 0.000, 0.000) x1
La (0.123, 0.186, 0.591) x1
La (0.151, 0.348, 0.139) x1
La (0.587, 0.807, 0.097) x1
La (0.662, 0.685, 0.594) x1
Ho (0.131, 0.766, 0.354) x1
Ho (0.138, 0.706, 0.828) x1
Ho (0.619, 0.240, 0.852) x1
Ho (0.639, 0.250, 0.352) x1
O (0.003, 0.718, 0.097) x1
O (0.274, 0.805, 0.600) x1
O (0.317, 0.038, 0.930) x1
O (0.317, 0.074, 0.303) x1
O (0.431, 0.537, 0.936) x1
O (0.449, 0.564, 0.289) x1
O (0.496, 0.317, 0.608) x1
O (0.780, 0.178, 0.099) x1
O (0.828, 0.958, 0.438) x1
O (0.833, 0.933, 0.801) x1
O (0.924, 0.440, 0.768) x1
O (0.950, 0.449, 0.405) x1

Largest 6 diffraction maxima, low angle first, 5 to 70 degrees two-theta:
hkl 0 2 0, 28.52 deg, intensity 36
hkl 1 1 2, 28.96 deg, intensity 43
hkl 1 1 -2, 29.71 deg, intensity 100
hkl -1 1 2, 29.79 deg, intensity 39
hkl 2 0 0, 30.50 deg, intensity 45
hkl 3 1 -2, 53.71 deg, intensity 21

# 11
Starting from a crystal structure in Alexandria, relaxed with GGA-PBE, the PXRD pattern of Li2La2HoSn2 was computed for copper Kα.
Neutral-atom scattering factors, no anomalous dispersion.

Cell and atoms:
Unit cell a=4.7988 b=4.7988 c=27.5641 alpha=90.00 beta=90.00 gamma=120.00
Space group R-3m (No. 166, hexagonal axes)
Inequivalent atoms, fractional coordinates:
Li (0.0000, 0.0000, 0.1066) x6
La (0.0000, 0.0000, 0.3689) x6
Ho (0.0000, 0.0000, 0.5000) x3
Sn (0.0000, 0.0000, 0.2309) x6

Largest 6 diffraction maxima, low angle first, 5 to 70 degrees two-theta:
hkl 1 0 1, 21.63 deg, intensity 72
hkl 1 0 7, 31.29 deg, intensity 100
hkl 0 1 8, 33.79 deg, intensity 78
hkl 1 1 0, 37.48 deg, intensity 87
hkl 0 0 15, 49.61 deg, intensity 40
hkl 1 1 15, 63.80 deg, intensity 62

# 12
Starting from a crystal structure in Alexandria, relaxed with GGA-PBE, the PXRD pattern of Li2La3Ho2Tl4 was computed for copper Kα.
Neutral-atom scattering factors, no anomalous dispersion.

Cell and atoms:
Unit cell a=5.1460 b=5.1460 c=14.2534 alpha=90.00 beta=90.00 gamma=120.00
Space group P-3m1 (No. 164)
Inequivalent atoms, fractional coordinates:
Li (0.3333, 0.6667, 0.1323) x2
La (0.0000, 0.0000, 0.0000) x1
La (0.0000, 0.0000, 0.2466) x2
Ho (0.3333, 0.6667, 0.5773) x2
Tl (0.3333, 0.6667, 0.3563) x2
Tl (0.3333, 0.6667, 0.8735) x2

Largest 6 diffraction maxima, low angle first, 5 to 70 degrees two-theta:
hkl 1 0 1, 20.88 deg, intensity 25
hkl 0 1 2, 23.54 deg, intensity 51
hkl 0 1 4, 32.16 deg, intensity 95
hkl 1 1 0, 34.87 deg, intensity 100
hkl 2 0 4, 48.16 deg, intensity 31
hkl 1 2 4, 60.83 deg, intensity 31

# 13
Starting from a crystal structure in Alexandria, relaxed with GGA-PBE, the PXRD pattern of LaHo2Mg6 was computed for copper Kα.
Neutral-atom scattering factors, no anomalous dispersion.

Cell and atoms:
Unit cell a=9.1354 b=9.1354 c=3.3296 alpha=90.00 beta=90.00 gamma=120.00
Space group P6/mmm (No. 191)
Inequivalent atoms, fractional coordinates:
La (0.0000, 0.0000, 0.0000) x1
Ho (0.3333, 0.6667, 0.0000) x2
Mg (0.0000, 0.3380, 0.5000) x6

Largest 6 diffraction maxima, low angle first, 5 to 70 degrees two-theta:
hkl 1 1 0, 19.43 deg, intensity 96
hkl 1 1 1, 33.30 deg, intensity 100
hkl 3 0 0, 34.00 deg, intensity 62
hkl 2 2 1, 48.33 deg, intensity 35
hkl 4 1 1, 60.40 deg, intensity 36
hkl 3 0 2, 66.41 deg, intensity 17